Entry 1:
Calculated X-ray powder pattern of Tm2Be2GeO7 for Cu Kα (weighted mean of Kα1 and Kα2), from a GGA-PBE-relaxed structure.
Lines closer than 0.1° are merged.

Largest 10 diffraction maxima, low angle first, 15 to 90 degrees two-theta:
two_theta  I/Imax
18.73  40
25.51  44
27.28  52
30.90  40
33.30  100
38.96  27
47.40  43
53.76  17
55.55  26
56.87  24

Structure:
```
data_Tm2Be2GeO7
_chemical_formula_sum 'Tm4 Be4 Ge2 O14'
_space_group_name_H-M_alt 'P 1'
_space_group_IT_number 1
_cell_length_a 7.310
_cell_length_b 7.310
_cell_length_c 4.737
_cell_angle_alpha 90.00
_cell_angle_beta 90.00
_cell_angle_gamma 90.00
loop_
_space_group_symop_operation_xyz
'x,y,z'
loop_
_atom_site_label
_atom_site_fract_x
_atom_site_fract_y
_atom_site_fract_z
Tm1 0.157 0.343 0.494
Tm2 0.343 0.843 0.506
Tm3 0.657 0.157 0.506
Tm4 0.843 0.657 0.494
Be1 0.136 0.636 0.950
Be2 0.364 0.136 0.050
Be3 0.636 0.864 0.050
Be4 0.864 0.364 0.950
Ge1 0.000 0.000 0.000
Ge2 0.500 0.500 0.000
O1 0.000 0.500 0.810
O2 0.083 0.829 0.776
O3 0.143 0.643 0.283
O4 0.171 0.083 0.224
O5 0.329 0.583 0.776
O6 0.357 0.143 0.717
O7 0.417 0.329 0.224
O8 0.500 0.000 0.190
O9 0.583 0.671 0.224
O10 0.643 0.857 0.717
O11 0.671 0.417 0.776
O12 0.829 0.917 0.224
O13 0.857 0.357 0.283
O14 0.917 0.171 0.776
```

=====

Entry 2:
Calculated X-ray powder pattern of Pm3InS6 for Cu Kα (weighted mean of Kα1 and Kα2), from a GGA-PBE-relaxed structure.
Lines closer than 0.1° are merged.

Largest 10 diffraction maxima, low angle first, 15 to 90 degrees two-theta:
two_theta  I/Imax
24.63  100
24.89  57
26.42  13
28.50  25
34.09  20
36.86  34
37.39  21
41.15  38
47.97  36
49.57  13

Structure:
```
data_Pm3InS6
_chemical_formula_sum 'Pm6 In2 S12'
_space_group_name_H-M_alt 'P 1'
_space_group_IT_number 1
_cell_length_a 8.779
_cell_length_b 8.779
_cell_length_c 6.746
_cell_angle_alpha 90.00
_cell_angle_beta 90.00
_cell_angle_gamma 102.76
loop_
_space_group_symop_operation_xyz
'x,y,z'
loop_
_atom_site_label
_atom_site_fract_x
_atom_site_fract_y
_atom_site_fract_z
Pm1 0.097 0.903 0.500
Pm2 0.215 0.412 0.586
Pm3 0.412 0.215 0.086
Pm4 0.588 0.785 0.586
Pm5 0.785 0.588 0.086
Pm6 0.903 0.097 0.000
In1 0.300 0.700 0.115
In2 0.700 0.300 0.615
S1 0.060 0.598 0.312
S2 0.133 0.190 0.292
S3 0.190 0.133 0.792
S4 0.280 0.720 0.754
S5 0.402 0.940 0.312
S6 0.467 0.533 0.277
S7 0.533 0.467 0.777
S8 0.598 0.060 0.812
S9 0.720 0.280 0.254
S10 0.810 0.867 0.292
S11 0.867 0.810 0.792
S12 0.940 0.402 0.812
```

=====

Entry 3:
Calculated X-ray powder pattern of LaGa2CuNi for Cu Kα (weighted mean of Kα1 and Kα2), from a GGA-PBE-relaxed structure.
Lines closer than 0.1° are merged.

Largest 10 diffraction maxima, low angle first, 15 to 90 degrees two-theta:
two_theta  I/Imax
29.44  17
34.35  66
34.71  100
42.12  62
50.93  24
55.44  33
61.09  20
64.44  14
68.16  20
72.21  22

Structure:
```
data_LaGa2CuNi
_chemical_formula_sum 'La2 Ga4 Cu2 Ni2'
_space_group_name_H-M_alt 'P 1'
_space_group_IT_number 1
_cell_length_a 4.291
_cell_length_b 4.291
_cell_length_c 9.869
_cell_angle_alpha 90.00
_cell_angle_beta 90.00
_cell_angle_gamma 90.00
loop_
_space_group_symop_operation_xyz
'x,y,z'
loop_
_atom_site_label
_atom_site_fract_x
_atom_site_fract_y
_atom_site_fract_z
La1 0.250 0.250 0.248
La2 0.750 0.750 0.752
Ga1 0.250 0.250 0.630
Ga2 0.250 0.750 0.000
Ga3 0.750 0.250 0.000
Ga4 0.750 0.750 0.370
Cu1 0.250 0.750 0.500
Cu2 0.750 0.250 0.500
Ni1 0.250 0.250 0.874
Ni2 0.750 0.750 0.126
```

=====

Entry 4:
Calculated X-ray powder pattern of AgBr2 for Cu Kα (weighted mean of Kα1 and Kα2), from a GGA-PBE-relaxed structure.
Lines closer than 0.1° are merged.

Largest 10 diffraction maxima, low angle first, 15 to 90 degrees two-theta:
two_theta  I/Imax
26.31  45
29.36  100
30.26  28
33.88  67
34.67  51
43.80  30
45.72  74
46.36  24
52.63  17
57.03  23

Structure:
```
data_AgBr2
_chemical_formula_sum 'Ag2 Br4'
_space_group_name_H-M_alt 'P 1'
_space_group_IT_number 1
_cell_length_a 3.974
_cell_length_b 3.974
_cell_length_c 11.988
_cell_angle_alpha 90.00
_cell_angle_beta 90.00
_cell_angle_gamma 117.32
loop_
_space_group_symop_operation_xyz
'x,y,z'
loop_
_atom_site_label
_atom_site_fract_x
_atom_site_fract_y
_atom_site_fract_z
Ag1 0.164 0.836 0.500
Ag2 0.836 0.164 0.000
Br1 0.144 0.856 0.873
Br2 0.471 0.529 0.629
Br3 0.529 0.471 0.129
Br4 0.856 0.144 0.373
```